# 1
The following is a calculated XRD peak list of LiVS3. It was derived from a DFT-relaxed cell (PBE, the Materials Project), using Cu Kα.
Kinematic intensities with the Lorentz-polarization factor, no thermal factor.

Principal peaks in the range 15° ≤ 2θ ≤ 90°, low angle first:
16.51°, intensity 43; 17.02°, intensity 100; 17.39°, intensity 26; 21.10°, intensity 41; 28.35°, intensity 46; 29.33°, intensity 45; 37.98°, intensity 36; 40.20°, intensity 40

Structural model:
```
LiVS3
1.0
5.808 0.000 0.000
-2.747 5.876 0.000
-0.432 -2.706 6.082
Li V S
2 2 6
Cartesian
-0.480 0.202 1.993 Li
3.109 2.969 4.088 Li
0.074 3.153 0.403 V
2.555 0.017 5.679 V
-1.406 0.760 4.511 S
1.212 1.269 0.327 S
2.018 -1.346 3.854 S
0.611 4.517 2.228 S
1.418 1.902 5.755 S
4.035 2.411 1.570 S
```



# 2
The following is a calculated XRD peak list of Li3VS3. It was derived from a DFT-relaxed cell (PBE, the Materials Project), using Cu Kα.
Kinematic intensities with the Lorentz-polarization factor, no thermal factor.

Principal peaks in the range 15° ≤ 2θ ≤ 90°, low angle first:
15.85°, intensity 100; 28.51°, intensity 46; 36.62°, intensity 31; 38.64°, intensity 50; 42.80°, intensity 24; 45.17°, intensity 27; 51.02°, intensity 15; 57.07°, intensity 19

Structural model:
```
Li3VS3
1.0
5.590 3.228 2.015
-5.590 3.228 2.015
0.000 -6.455 2.015
Li V S
6 2 6
Cartesian
-0.558 -3.177 2.015 Li
-3.118 -1.155 3.022 Li
-2.472 2.072 2.015 Li
2.560 -2.123 3.022 Li
3.030 1.105 2.015 Li
0.558 3.278 3.022 Li
0.000 0.000 2.521 V
0.000 0.000 5.544 V
-4.587 1.559 3.026 S
0.943 -4.753 3.026 S
-1.003 -1.668 4.033 S
-0.943 1.703 4.033 S
1.946 -0.034 4.033 S
3.644 3.193 3.026 S
```



# 3
The following is a calculated XRD peak list of Li2V3S6. It was derived from a DFT-relaxed cell (PBE, the Materials Project), using Cu Kα.
Kinematic intensities with the Lorentz-polarization factor, no thermal factor.

Principal peaks in the range 15° ≤ 2θ ≤ 90°, low angle first:
31.99°, intensity 39; 32.56°, intensity 69; 36.87°, intensity 48; 40.32°, intensity 100; 44.42°, intensity 27; 49.06°, intensity 75; 57.01°, intensity 45; 58.46°, intensity 28

Structural model:
```
Li2V3S6
1.0
5.596 0.000 0.000
-2.798 4.846 0.000
0.000 0.000 14.896
Li V S
4 6 12
Cartesian
0.000 3.231 0.000 Li
0.000 3.231 7.448 Li
2.798 1.615 0.000 Li
2.798 1.615 7.448 Li
-0.910 1.576 3.724 V
-1.888 3.270 11.172 V
1.820 0.000 3.724 V
0.910 1.576 11.172 V
3.776 0.000 11.172 V
1.888 3.270 3.724 V
0.000 0.000 2.237 S
0.000 0.000 5.211 S
0.000 0.000 9.685 S
0.000 0.000 12.659 S
0.000 3.231 2.295 S
0.000 3.231 5.153 S
0.000 3.231 9.743 S
0.000 3.231 12.601 S
2.798 1.615 2.295 S
2.798 1.615 5.153 S
2.798 1.615 9.743 S
2.798 1.615 12.601 S
```



# 4
The following is a calculated XRD peak list of Li2V2S5. It was derived from a DFT-relaxed cell (PBE, the Materials Project), using Cu Kα.
Kinematic intensities with the Lorentz-polarization factor, no thermal factor.

Principal peaks in the range 15° ≤ 2θ ≤ 90°, low angle first:
16.83°, intensity 47; 17.29°, intensity 100; 30.62°, intensity 49; 30.72°, intensity 19; 34.38°, intensity 46; 37.94°, intensity 41; 50.59°, intensity 22; 52.40°, intensity 27

Structural model:
```
Li2V2S5
1.0
5.010 -3.116 0.000
5.010 3.116 0.000
-4.864 0.000 10.536
Li V S
4 4 10
Cartesian
0.364 0.786 3.368 Li
-2.068 -0.786 8.636 Li
7.224 0.786 1.900 Li
4.792 -0.786 7.169 Li
3.842 0.928 0.554 V
3.745 0.928 4.715 V
1.410 -0.928 5.822 V
1.314 -0.928 9.983 V
3.794 2.106 2.634 S
1.879 0.015 0.344 S
-0.553 -0.015 5.612 S
-0.011 0.670 9.039 S
2.735 0.670 6.765 S
2.421 -0.670 3.771 S
5.167 -0.670 1.497 S
5.708 0.015 4.924 S
3.276 -0.015 10.193 S
1.362 -2.106 7.902 S
```



# 5
The following is a calculated XRD peak list of LiVS2. It was derived from a DFT-relaxed cell (PBE, the Materials Project), using Cu Kα.
Kinematic intensities with the Lorentz-polarization factor, no thermal factor.

Principal peaks in the range 15° ≤ 2θ ≤ 90°, low angle first:
33.20°, intensity 100; 42.33°, intensity 76; 52.58°, intensity 36; 54.77°, intensity 25; 54.89°, intensity 12; 63.61°, intensity 13; 69.70°, intensity 15; 84.96°, intensity 15

Structural model:
```
LiVS2
1.0
3.481 0.000 0.000
-1.741 3.015 0.000
0.000 0.000 6.049
Li V S
1 1 2
Cartesian
0.000 0.000 0.000 Li
0.000 0.000 3.024 V
0.000 2.010 1.635 S
1.741 1.005 4.414 S
```



# 6
The following is a calculated XRD peak list of Li3VS4. It was derived from a DFT-relaxed cell (PBE, the Materials Project), using Cu Kα.
Kinematic intensities with the Lorentz-polarization factor, no thermal factor.

Principal peaks in the range 15° ≤ 2θ ≤ 90°, low angle first:
16.95°, intensity 80; 18.91°, intensity 75; 20.16°, intensity 94; 20.68°, intensity 58; 26.46°, intensity 100; 26.59°, intensity 83; 28.55°, intensity 61; 37.25°, intensity 64

Structural model:
```
Li3VS4
1.0
7.133 0.000 0.000
0.000 6.990 0.000
-2.529 0.000 12.667
Li V S
12 4 16
Cartesian
-0.824 0.005 4.639 Li
-2.088 3.490 10.972 Li
-0.064 4.085 7.798 Li
1.200 6.400 1.465 Li
1.551 1.073 7.709 Li
2.815 2.422 1.376 Li
1.789 4.568 11.291 Li
3.054 5.917 4.958 Li
3.404 0.590 11.202 Li
4.669 2.905 4.869 Li
6.692 3.500 1.695 Li
5.428 6.985 8.028 Li
0.506 4.255 4.784 V
-0.758 6.229 11.117 V
5.362 0.760 1.550 V
4.098 2.734 7.883 V
0.020 1.202 2.685 S
-1.245 2.293 9.018 S
-1.015 1.064 12.201 S
0.249 2.431 5.867 S
-0.492 4.577 12.531 S
0.773 5.907 6.198 S
2.187 4.158 3.431 S
0.922 6.326 9.765 S
3.682 0.663 2.902 S
2.418 2.831 9.235 S
3.832 1.082 6.469 S
5.096 2.412 0.136 S
4.355 4.559 6.799 S
5.620 5.926 0.466 S
5.849 4.697 3.649 S
4.585 5.788 9.982 S
```



# 7
The following is a calculated XRD peak list of Li3V4S8. It was derived from a DFT-relaxed cell (PBE, the Materials Project), using Cu Kα.
Kinematic intensities with the Lorentz-polarization factor, no thermal factor.

Principal peaks in the range 15° ≤ 2θ ≤ 90°, low angle first:
31.35°, intensity 26; 36.06°, intensity 100; 44.86°, intensity 10; 44.97°, intensity 20; 48.53°, intensity 35; 55.17°, intensity 27; 60.74°, intensity 13; 67.69°, intensity 11

Structural model:
```
Li3V4S8
1.0
5.772 -3.327 0.000
5.772 3.327 0.000
-3.834 0.000 6.587
Li V S
3 4 8
Cartesian
0.000 0.000 0.000 Li
5.032 -1.545 6.579 Li
5.032 1.545 6.579 Li
2.859 1.399 2.893 V
0.447 0.000 2.891 V
2.859 -1.399 2.893 V
5.919 0.000 2.935 V
4.933 1.688 4.195 S
2.059 0.000 4.526 S
3.998 0.000 1.399 S
6.865 1.649 1.385 S
4.933 -1.688 4.195 S
7.863 0.000 4.204 S
6.865 -1.649 1.385 S
9.757 0.000 1.639 S
```